This entry pairs a crystal structure of Li3Fe4B4O12 with its theoretical X-ray powder pattern. Radiation: Cu Ka. Structure: the GGA+U geometry in the Materials Project.
Intensities are scaled so that the largest is 1000.

Atomic structure:
Cell lengths 5.2190, 9.0726, 11.3477 Å; angles 112.29, 102.68, 90.08 degrees
Space group P1 (No. 1)
Inequivalent atoms, fractional coordinates:
Li (0.0000, 0.0000, 0.0000) [1 per cell]
Li (0.0388, 0.0312, 0.7448) [1 per cell]
Li (0.2729, 0.2408, 0.4946) [1 per cell]
Li (0.4969, 0.4978, 0.9976) [1 per cell]
Li (0.5385, 0.5306, 0.7397) [1 per cell]
Li (0.8117, 0.7747, 0.2540) [1 per cell]
Fe (0.0357, 0.3453, 0.7176) [1 per cell]
Fe (0.2490, 0.5702, 0.4664) [1 per cell]
Fe (0.2833, 0.9440, 0.2201) [1 per cell]
Fe (0.4809, 0.1438, 0.9671) [1 per cell]
Fe (0.5465, 0.8472, 0.7113) [1 per cell]
Fe (0.7553, 0.0498, 0.4697) [1 per cell]
Fe (0.7816, 0.4170, 0.2163) [1 per cell]
Fe (0.9886, 0.6528, 0.9649) [1 per cell]
B (0.0311, 0.6815, 0.7111) [1 per cell]
B (0.2369, 0.8906, 0.4616) [1 per cell]
B (0.2785, 0.5994, 0.2146) [1 per cell]
B (0.4886, 0.8081, 0.9596) [1 per cell]
B (0.5302, 0.1793, 0.7129) [1 per cell]
B (0.7482, 0.3892, 0.4654) [1 per cell]
B (0.7814, 0.0922, 0.2100) [1 per cell]
B (0.9923, 0.3103, 0.9663) [1 per cell]
O (0.0305, 0.0910, 0.1924) [1 per cell]
O (0.0953, 0.1665, 0.9491) [1 per cell]
O (0.1095, 0.4224, 0.9338) [1 per cell]
O (0.1354, 0.7103, 0.1807) [1 per cell]
O (0.1591, 0.5054, 0.2651) [1 per cell]
O (0.2538, 0.8383, 0.9985) [1 per cell]
O (0.2663, 0.6465, 0.6652) [1 per cell]
O (0.3516, 0.0123, 0.4376) [1 per cell]
O (0.3943, 0.7820, 0.4983) [1 per cell]
O (0.4066, 0.3103, 0.7015) [1 per cell]
O (0.4124, 0.0742, 0.7522) [1 per cell]
O (0.4911, 0.4097, 0.4765) [1 per cell]
O (0.5350, 0.5769, 0.1979) [1 per cell]
O (0.5962, 0.6640, 0.9467) [1 per cell]
O (0.6134, 0.9191, 0.9281) [1 per cell]
O (0.6252, 0.2073, 0.1813) [1 per cell]
O (0.6797, 0.9839, 0.2515) [1 per cell]
O (0.7625, 0.3432, 0.0156) [1 per cell]
O (0.7775, 0.1549, 0.6857) [1 per cell]
O (0.8709, 0.4817, 0.4140) [1 per cell]
O (0.8938, 0.2811, 0.5027) [1 per cell]
O (0.9196, 0.5727, 0.7489) [1 per cell]
O (0.9249, 0.8204, 0.7184) [1 per cell]
O (0.9714, 0.8705, 0.4459) [1 per cell]

Main lines, sorted by position (2θ = 10–90°):
| 2theta | I (rel.) |
| --- | --- |
| 19.6 | 865 |
| 21.5 | 475 |
| 21.6 | 769 |
| 26.0 | 560 |
| 26.6 | 395 |
| 34.3 | 633 |
| 34.4 | 303 |
| 35.2 | 1000 |
| 40.6 | 311 |
| 54.1 | 278 |

---

This entry pairs a crystal structure of NaMnO2 with its theoretical X-ray powder pattern. Radiation: Cu Ka. Structure: the GGA+U geometry in the Materials Project.
Intensities are scaled so that the largest is 1000.

Atomic structure:
Cell lengths 2.9212, 4.8764, 6.4222 Å; angles 90.00, 90.00, 90.00 degrees
Space group Pmmn (No. 59, origin choice 2)
Inequivalent atoms, fractional coordinates:
Na (0.2500, 0.2500, 0.1233) [2 per cell]
Mn (0.2500, 0.2500, 0.6246) [2 per cell]
O (0.2500, 0.7500, 0.1717) [2 per cell]
O (0.2500, 0.7500, 0.5819) [2 per cell]

Main lines, sorted by position (2θ = 10–90°):
| 2theta | I (rel.) |
| --- | --- |
| 13.8 | 668 |
| 22.9 | 395 |
| 33.4 | 453 |
| 35.8 | 307 |
| 36.9 | 812 |
| 41.8 | 1000 |
| 56.9 | 703 |
| 57.4 | 134 |
| 69.5 | 156 |
| 75.9 | 139 |

---

This entry pairs a crystal structure of Li2Mn3FeO8 with its theoretical X-ray powder pattern. Radiation: Cu Ka. Structure: the GGA+U geometry in the Materials Project.
Intensities are scaled so that the largest is 1000.

Atomic structure:
Cell lengths 5.8057, 5.9474, 9.4736 Å; angles 90.06, 90.04, 119.16 degrees
Space group P1 (No. 1)
Inequivalent atoms, fractional coordinates:
Li (0.0000, 0.0000, 0.0000) [1 per cell]
Li (0.0012, 0.0146, 0.5008) [1 per cell]
Li (0.3348, 0.6755, 0.6105) [1 per cell]
Li (0.6681, 0.3399, 0.1106) [1 per cell]
Mn (0.1689, 0.8371, 0.2865) [1 per cell]
Mn (0.1701, 0.3466, 0.2809) [1 per cell]
Mn (0.3415, 0.1781, 0.7857) [1 per cell]
Mn (0.6610, 0.8371, 0.2858) [1 per cell]
Mn (0.8312, 0.6657, 0.7805) [1 per cell]
Mn (0.8321, 0.1774, 0.7859) [1 per cell]
Fe (0.3383, 0.6803, 0.0057) [1 per cell]
Fe (0.6642, 0.3341, 0.5047) [1 per cell]
O (0.0157, 0.0353, 0.6867) [1 per cell]
O (0.0413, 0.5360, 0.1647) [1 per cell]
O (0.1627, 0.3284, 0.9011) [1 per cell]
O (0.1681, 0.8485, 0.8929) [1 per cell]
O (0.3217, 0.1648, 0.3936) [1 per cell]
O (0.3492, 0.7048, 0.3987) [1 per cell]
O (0.4798, 0.9676, 0.1657) [1 per cell]
O (0.4893, 0.5357, 0.1646) [1 per cell]
O (0.5128, 0.4785, 0.6648) [1 per cell]
O (0.5213, 0.0470, 0.6657) [1 per cell]
O (0.6538, 0.3117, 0.8988) [1 per cell]
O (0.6780, 0.8501, 0.8941) [1 per cell]
O (0.8346, 0.1653, 0.3921) [1 per cell]
O (0.8402, 0.6879, 0.4005) [1 per cell]
O (0.9605, 0.4765, 0.6639) [1 per cell]
O (0.9852, 0.9772, 0.1854) [1 per cell]

Main lines, sorted by position (2θ = 10–90°):
| 2theta | I (rel.) |
| --- | --- |
| 18.7 | 1000 |
| 19.5 | 592 |
| 19.9 | 964 |
| 33.4 | 395 |
| 35.6 | 609 |
| 36.7 | 526 |
| 40.4 | 391 |
| 45.9 | 592 |
| 61.1 | 380 |
| 62.5 | 430 |

---

This entry pairs a crystal structure of VOF with its theoretical X-ray powder pattern. Radiation: Cu Ka. Structure: the GGA+U geometry in the Materials Project.
Intensities are scaled so that the largest is 1000.

Atomic structure:
Cell lengths 4.7545, 3.1014, 14.2065 Å; angles 90.00, 91.75, 90.00 degrees
Space group P2/m (No. 10)
Inequivalent atoms, fractional coordinates:
V (0.0000, 0.0000, 0.0000) [1 per cell]
V (0.0248, 0.0000, 0.3331) [2 per cell]
V (0.4303, 0.5000, 0.8332) [2 per cell]
V (0.5000, 0.5000, 0.5000) [1 per cell]
O (0.1852, 0.5000, 0.9353) [2 per cell]
O (0.2654, 0.0000, 0.7651) [2 per cell]
O (0.3112, 0.0000, 0.4327) [2 per cell]
F (0.1790, 0.5000, 0.6011) [2 per cell]
F (0.2263, 0.5000, 0.2657) [2 per cell]
F (0.3208, 0.0000, 0.1052) [2 per cell]

Main lines, sorted by position (2θ = 10–90°):
| 2theta | I (rel.) |
| --- | --- |
| 26.2 | 1000 |
| 27.0 | 985 |
| 34.6 | 988 |
| 39.3 | 260 |
| 39.9 | 210 |
| 51.8 | 596 |
| 52.7 | 532 |
| 59.6 | 209 |
| 66.2 | 265 |
| 66.5 | 268 |

---

This entry pairs a crystal structure of Mg6FeCoO8 with its theoretical X-ray powder pattern. Radiation: Cu Ka. Structure: the GGA+U geometry in the Materials Project.
Intensities are scaled so that the largest is 1000.

Atomic structure:
Cell lengths 4.2586, 4.2586, 8.6056 Å; angles 90.00, 90.00, 90.00 degrees
Space group P4/mmm (No. 123)
Inequivalent atoms, fractional coordinates:
Mg (0.0000, 0.0000, 0.0000) [1 per cell]
Mg (0.0000, 0.5000, 0.2501) [4 per cell]
Mg (0.5000, 0.5000, 0.0000) [1 per cell]
Fe (0.0000, 0.0000, 0.5000) [1 per cell]
Co (0.5000, 0.5000, 0.5000) [1 per cell]
O (0.0000, 0.0000, 0.2509) [2 per cell]
O (0.0000, 0.5000, 0.0000) [2 per cell]
O (0.0000, 0.5000, 0.5000) [2 per cell]
O (0.5000, 0.5000, 0.2427) [2 per cell]

Main lines, sorted by position (2θ = 10–90°):
| 2theta | I (rel.) |
| --- | --- |
| 10.3 | 458 |
| 20.6 | 104 |
| 31.5 | 136 |
| 36.4 | 401 |
| 42.0 | 516 |
| 42.5 | 1000 |
| 61.2 | 576 |
| 61.6 | 283 |
| 73.7 | 131 |
| 77.4 | 260 |

---

This entry pairs a crystal structure of BaCaMnSnO6 with its theoretical X-ray powder pattern. Radiation: Cu Ka. Structure: the GGA+U geometry in the Materials Project.
Intensities are scaled so that the largest is 1000.

Atomic structure:
Cell lengths 8.0235, 8.0235, 8.0235 Å; angles 90.00, 90.00, 90.00 degrees
Space group F-43m (No. 216)
Inequivalent atoms, fractional coordinates:
Ba (0.0000, 0.0000, 0.0000) [4 per cell]
Ca (0.0000, 0.0000, 0.5000) [4 per cell]
Mn (0.2500, 0.2500, 0.2500) [4 per cell]
Sn (0.2500, 0.2500, 0.7500) [4 per cell]
O (0.0076, 0.2500, 0.2500) [24 per cell]

Main lines, sorted by position (2θ = 10–90°):
| 2theta | I (rel.) |
| --- | --- |
| 19.2 | 245 |
| 31.5 | 1000 |
| 37.2 | 159 |
| 45.2 | 353 |
| 49.5 | 78 |
| 56.2 | 391 |
| 65.8 | 210 |
| 69.3 | 56 |
| 74.8 | 173 |
| 83.5 | 71 |